LiCoSiO4: computed powder X-ray diffraction pattern (λ = 1.5418 Å (Cu Kα)), based on a structure optimized by DFT (GGA+U).

Most intense lines, 10° ≤ 2θ ≤ 80°, in order of rising 2θ:
Position (°2θ)  intensity
20.22  100
21.53  76
32.03  14
34.76  35
35.40  18
38.92  12
41.10  17
41.40  9
50.66  7
55.58  8
58.87  9
63.14  12

Crystal structure
```
LiCoSiO4
1.0
4.363 -2.794 0.000
4.363 2.794 0.000
-2.840 0.000 8.260
Li Co Si O
2 2 2 8
Cartesian
2.943 2.662 4.130
4.363 -2.662 0.000
5.153 1.261 2.351
3.734 -1.261 6.481
2.173 1.354 1.411
0.753 -1.354 5.541
0.088 1.651 8.235
3.291 1.590 2.596
0.043 0.137 5.460
1.463 -0.137 1.330
3.868 0.409 5.808
1.508 -1.651 4.105
5.288 -0.409 1.678
1.871 -1.590 6.726
```

***

Li3Co2Si3O10: computed powder X-ray diffraction pattern (λ = 1.5418 Å (Cu Kα)), based on a structure optimized by DFT (GGA+U).

Most intense lines, 10° ≤ 2θ ≤ 80°, in order of rising 2θ:
Position (°2θ)  intensity
10.56  36
18.79  27
19.21  100
20.95  41
22.23  37
23.82  20
27.47  41
32.04  49
33.19  50
36.32  14
36.43  20
58.52  19

Crystal structure
```
Li3Co2Si3O10
1.0
4.654 -2.749 0.000
4.654 2.749 0.000
-2.261 0.000 16.761
Li Co Si O
6 4 6 20
Cartesian
3.523 2.228 8.380
3.335 2.077 13.883
3.608 0.732 4.495
2.478 -0.732 12.876
4.654 -2.228 0.000
4.465 -2.077 5.503
3.875 0.477 16.182
5.005 -0.477 7.802
6.464 0.528 10.511
7.594 -0.528 2.131
0.207 0.571 10.881
0.823 0.516 15.962
1.338 -0.571 2.500
1.953 -0.516 7.582
6.349 0.604 5.022
5.218 -0.604 13.402
0.019 0.162 1.899
-1.111 -0.162 10.279
0.506 0.251 7.437
1.306 1.109 14.459
-0.625 -0.251 15.818
2.577 0.486 2.696
5.526 1.633 4.002
3.204 0.387 8.054
1.446 -0.486 11.076
2.073 -0.387 16.435
2.436 -1.109 6.079
6.416 0.872 1.616
4.032 0.264 14.075
6.420 0.836 8.462
5.162 -0.264 5.694
6.454 0.143 12.666
5.286 -0.872 9.997
7.585 -0.143 4.285
4.395 -1.633 12.382
7.551 -0.836 0.081
```

***

LiCoSiO4: computed powder X-ray diffraction pattern (λ = 1.5418 Å (Cu Kα)), based on a structure optimized by DFT (GGA+U).

Most intense lines, 10° ≤ 2θ ≤ 80°, in order of rising 2θ:
Position (°2θ)  intensity
20.16  35
20.88  100
25.24  47
34.97  74
35.41  65
35.72  76
39.73  31
46.17  21
51.83  39
58.47  23
63.40  40
65.66  27

Crystal structure
```
LiCoSiO4
1.0
8.811 0.000 0.000
0.000 6.313 0.000
0.000 0.000 4.858
Li Co Si O
4 4 4 16
Cartesian
1.438 1.578 0.188
2.967 4.735 2.617
5.843 1.578 2.241
7.373 4.735 4.670
0.000 0.000 2.429
0.000 3.157 2.429
4.405 0.000 0.000
4.405 3.157 0.000
1.586 4.735 0.183
2.819 1.578 2.612
5.992 4.735 2.247
7.224 1.578 4.676
1.073 3.373 0.941
1.073 6.097 0.941
1.121 4.735 3.475
1.144 1.578 2.929
3.261 4.735 0.500
3.285 1.578 1.046
3.332 0.217 3.370
3.332 2.940 3.370
5.479 3.373 1.488
5.479 6.097 1.488
5.526 4.735 3.812
5.550 1.578 4.358
7.666 4.735 1.929
7.690 1.578 1.383
7.737 0.217 3.917
7.737 2.940 3.917
```